No. 1
Theoretical X-ray diffraction stick pattern
Compound: K3ErCl6
Radiation: Cu Kα (λ = 1.5418 Å)
Structure: a structure optimized by DFT (GGA-PBE)
Lines closer than 0.1° are merged.

Main lines, sorted by position (2θ = 10–90°):
| 2θ/deg | d (Å) | Rel. int. |
| --- | --- | --- |
| 13.74 | 6.446 | 86 |
| 15.87 | 5.583 | 90 |
| 22.52 | 3.948 | 94 |
| 26.48 | 3.367 | 35 |
| 32.06 | 2.791 | 100 |
| 35.97 | 2.497 | 43 |
| 39.54 | 2.279 | 41 |
| 42.05 | 2.149 | 24 |
| 45.98 | 1.974 | 65 |
| 76.27 | 1.248 | 25 |

Cell and atoms:
```
data_K3ErCl6
_chemical_formula_sum 'K3 Er1 Cl6'
_space_group_name_H-M_alt 'P 1'
_space_group_IT_number 1
_cell_length_a 7.8953
_cell_length_b 7.8953
_cell_length_c 7.8953
_cell_angle_alpha 60.00
_cell_angle_beta 60.00
_cell_angle_gamma 60.00
loop_
_space_group_symop_operation_xyz
'x,y,z'
loop_
_atom_site_label
_atom_site_fract_x
_atom_site_fract_y
_atom_site_fract_z
K1 0.0000 0.0000 0.0000
K2 0.2500 0.2500 0.2500
K3 0.7500 0.7500 0.7500
Er1 0.5000 0.5000 0.5000
Cl1 0.2666 0.2666 0.7334
Cl2 0.2666 0.7334 0.2666
Cl3 0.2666 0.7334 0.7334
Cl4 0.7334 0.2666 0.2666
Cl5 0.7334 0.2666 0.7334
Cl6 0.7334 0.7334 0.2666
```

=====

No. 2
Theoretical X-ray diffraction stick pattern
Compound: Nd6Fe13Au
Radiation: Cu Kα (λ = 1.5418 Å)
Structure: a structure optimized by DFT (GGA-PBE)
Lines closer than 0.1° are merged.

Main lines, sorted by position (2θ = 10–90°):
| 2θ/deg | d (Å) | Rel. int. |
| --- | --- | --- |
| 27.40 | 3.256 | 62 |
| 31.54 | 2.837 | 100 |
| 32.25 | 2.776 | 36 |
| 34.93 | 2.568 | 40 |
| 35.31 | 2.542 | 94 |
| 38.46 | 2.341 | 68 |
| 43.40 | 2.085 | 34 |
| 46.76 | 1.943 | 32 |
| 58.31 | 1.582 | 36 |
| 67.83 | 1.382 | 39 |

Cell and atoms:
```
data_Nd6Fe13Au
_chemical_formula_sum 'Nd12 Fe26 Au2'
_space_group_name_H-M_alt 'P 1'
_space_group_IT_number 1
_cell_length_a 12.8428
_cell_length_b 12.8428
_cell_length_c 12.8428
_cell_angle_alpha 143.53
_cell_angle_beta 143.53
_cell_angle_gamma 52.53
loop_
_space_group_symop_operation_xyz
'x,y,z'
loop_
_atom_site_label
_atom_site_fract_x
_atom_site_fract_y
_atom_site_fract_z
Nd1 0.0234 0.5234 0.1722
Nd2 0.1072 0.1072 0.0000
Nd3 0.1488 0.9766 0.5000
Nd4 0.3512 0.8512 0.8278
Nd5 0.3928 0.3928 0.0000
Nd6 0.4766 0.6488 0.5000
Nd7 0.5234 0.3512 0.5000
Nd8 0.6072 0.6072 0.0000
Nd9 0.6488 0.1488 0.1722
Nd10 0.8512 0.0234 0.5000
Nd11 0.8928 0.8928 0.0000
Nd12 0.9766 0.4766 0.8278
Fe1 0.0000 0.5000 0.5000
Fe2 0.0180 0.2903 0.5000
Fe3 0.0667 0.2098 0.2765
Fe4 0.1189 0.6189 0.8570
Fe5 0.2097 0.4820 0.5000
Fe6 0.2098 0.9333 0.1431
Fe7 0.2381 0.7381 0.8570
Fe8 0.2619 0.1189 0.5000
Fe9 0.2902 0.4333 0.7235
Fe10 0.2903 0.7903 0.2723
Fe11 0.3811 0.2381 0.5000
Fe12 0.4333 0.7098 0.1431
Fe13 0.4820 0.9820 0.2723
Fe14 0.5000 0.0000 0.5000
Fe15 0.5180 0.0180 0.7277
Fe16 0.5667 0.2902 0.8569
Fe17 0.6189 0.7619 0.5000
Fe18 0.7097 0.2097 0.7277
Fe19 0.7098 0.5667 0.2765
Fe20 0.7381 0.8811 0.5000
Fe21 0.7619 0.2619 0.1430
Fe22 0.7902 0.0667 0.8569
Fe23 0.7903 0.5180 0.5000
Fe24 0.8811 0.3811 0.1430
Fe25 0.9333 0.7902 0.7235
Fe26 0.9820 0.7097 0.5000
Au1 0.2500 0.2500 0.0000
Au2 0.7500 0.7500 0.0000
```